No. 1
TbCd20Ni2: computed powder XRD pattern (a wavelength of 1.5418 Å), based on a crystal structure in Alexandria, relaxed with GGA-PBE.
Intensities are scaled so that the largest is 100.

Structure:
Unit cell a=15.739 b=15.739 c=15.739 alpha=90.00 beta=90.00 gamma=90.00
Space group Fd-3m (No. 227, origin choice 2)
Symmetry-distinct sites (fractional):
Tb (0.125, 0.125, 0.125) [8 per cell]
Cd (0.000, 0.000, 0.000) [16 per cell]
Cd (0.012, 0.375, 0.875) [48 per cell]
Cd (0.060, 0.060, 0.324) [96 per cell]
Ni (0.000, 0.000, 0.500) [16 per cell]

Most intense lines, 5° ≤ 2θ ≤ 70°, in order of rising 2θ:
33.69°, intensity 100.0, hkl 5 3 1
36.09°, intensity 37.1, hkl 6 2 0
37.47°, intensity 64.3, hkl 5 3 3
37.92°, intensity 62.6, hkl 6 2 2
39.67°, intensity 18.9, hkl 4 4 4
40.95°, intensity 23.8, hkl 7 1 1
49.12°, intensity 22.0, hkl 6 6 0
58.33°, intensity 19.0, hkl 9 3 3
67.30°, intensity 41.8, hkl 8 8 0
68.20°, intensity 17.7, hkl 9 5 5

---

No. 2
La3IrBr2: computed powder XRD pattern (a wavelength of 1.5418 Å), based on a crystal structure in Alexandria, relaxed with GGA-PBE.
Intensities are scaled so that the largest is 100.

Structure:
Unit cell a=4.092 b=6.239 c=14.407 alpha=90.00 beta=90.00 gamma=90.00
Space group Immm (No. 71)
Symmetry-distinct sites (fractional):
La (0.000, 0.000, 0.000) [2 per cell]
La (0.000, 0.000, 0.369) [4 per cell]
Ir (0.000, 0.500, 0.000) [2 per cell]
Br (0.000, 0.500, 0.321) [4 per cell]

Most intense lines, 5° ≤ 2θ ≤ 70°, in order of rising 2θ:
12.29°, intensity 18.2, hkl 0 0 2
15.48°, intensity 15.0, hkl 0 1 1
28.65°, intensity 100.0, hkl 0 2 0
36.21°, intensity 11.4, hkl 1 1 4
37.46°, intensity 8.8, hkl 0 0 6
40.95°, intensity 47.6, hkl 1 2 3
44.28°, intensity 11.4, hkl 2 0 0
47.80°, intensity 8.8, hkl 0 2 6
53.57°, intensity 13.0, hkl 2 2 0
67.15°, intensity 17.3, hkl 1 4 3

---

No. 3
Cs3Ge2I8: computed powder XRD pattern (a wavelength of 1.5418 Å), based on a crystal structure in Alexandria, relaxed with GGA-PBE.
Intensities are scaled so that the largest is 100.

Structure:
Unit cell a=8.6000 b=8.6000 c=32.6144 alpha=90.00 beta=90.00 gamma=120.00
Space group R-3m (No. 166, hexagonal axes)
Symmetry-distinct sites (fractional):
Cs (0.0000, 0.0000, 0.0000) [3 per cell]
Cs (0.0000, 0.0000, 0.2085) [6 per cell]
Ge (0.0000, 0.0000, 0.4110) [6 per cell]
I (0.0000, 0.0000, 0.3266) [6 per cell]
I (0.0260, 0.5130, 0.7700) [18 per cell]

Most intense lines, 5° ≤ 2θ ≤ 70°, in order of rising 2θ:
20.66°, intensity 37.7, hkl 1 1 0
22.23°, intensity 18.3, hkl 1 1 3
24.54°, intensity 100.0, hkl 0 0 9
26.31°, intensity 35.1, hkl 0 2 4
26.43°, intensity 20.8, hkl 1 1 6
27.58°, intensity 36.7, hkl 2 0 5
38.84°, intensity 35.9, hkl 2 0 11
42.02°, intensity 41.6, hkl 2 2 0
46.82°, intensity 18.2, hkl 1 1 15
49.28°, intensity 38.0, hkl 2 2 9